# Pu8Ir2Ru3
Calculated powder diffraction line list, Cu Ka. Input: the PBE geometry in Alexandria.
Neutral-atom scattering factors, no anomalous dispersion.

Most intense lines, 2θ = 5–70°, in order of rising 2θ:
(hkl)	d_spacing	intensity
1 0 -3	2.513	100
1 2 -1	2.453	90
0 2 2	2.418	62
2 -1 0	2.393	50
1 -3 1	2.261	37
1 -1 3	2.166	34

Structure:
```
data_Pu8Ir2Ru3
_cell_length_a 4.862
_cell_length_b 7.174
_cell_length_c 8.090
_cell_angle_alpha 94.90
_cell_angle_beta 99.89
_cell_angle_gamma 106.09
_space_group_name_H-M_alt 'P -1'
_space_group_IT_number 2
loop_
_space_group_symop_operation_xyz
'x,y,z'
'-x,-y,-z'
loop_
_atom_site_label
_atom_site_type_symbol
_atom_site_fract_x
_atom_site_fract_y
_atom_site_fract_z
Pu1 Pu 0.049 0.135 0.337
Pu2 Pu 0.161 0.371 0.017
Pu3 Pu 0.264 0.590 0.406
Pu4 Pu 0.315 0.899 0.116
Ir1 Ir 0.362 0.674 0.783
Ru1 Ru 0.213 0.254 0.692
Ru2 Ru 0.500 0.000 0.500
```